[1]
The following is a simulated powder XRD pattern of CeDy3Sb4. It was derived from DFT lattice parameters and positions (GGA-PBE), using Cu Ka.
Intensities are scaled so that the largest is 100.

Cell and atoms:
Cell: 6.2436 6.2436 12.4751 Å, 90.00 90.00 90.00°
Space group I4/mmm (No. 139)
One atom of each set of equivalent atoms:
Ce1 0.0000 0.0000 0.0000 x2
Dy1 0.0000 0.0000 0.5000 x2
Dy2 0.0000 0.5000 0.2500 x4
Sb1 0.0000 0.0000 0.2513 x4
Sb2 0.0000 0.5000 0.0000 x4

Main lines, by angle (10° ≤ 2θ ≤ 80°):
hkl 1 1 2, 24.7 deg, I = 3; hkl 2 0 0, 28.6 deg, I = 100; hkl 2 2 0, 40.9 deg, I = 76; hkl 1 1 6, 48.4 deg, I = 2; hkl 2 2 4, 50.7 deg, I = 27; hkl 4 0 0, 59.2 deg, I = 13; hkl 3 1 6, 65.1 deg, I = 1; hkl 4 2 0, 67.1 deg, I = 35; hkl 4 2 4, 74.5 deg, I = 26; hkl 1 1 10, 79.9 deg, I = 1


[2]
The following is a simulated powder XRD pattern of Ce2SmDySb5. It was derived from DFT lattice parameters and positions (GGA-PBE), using Cu Ka.
Intensities are scaled so that the largest is 100.

Cell and atoms:
Cell: 5.3833 5.3833 11.6206 Å, 90.00 90.00 90.00°
Space group P4/mmm (No. 123)
One atom of each set of equivalent atoms:
Ce1 0.0000 0.0000 0.2140 x2
Sm1 0.5000 0.5000 0.0000 x1
Dy1 0.5000 0.5000 0.5000 x1
Sb1 0.0000 0.0000 0.5000 x1
Sb2 0.0000 0.5000 0.0000 x2
Sb3 0.5000 0.5000 0.2547 x2

Main lines, by angle (10° ≤ 2θ ≤ 80°):
hkl 1 1 0, 23.4 deg, I = 87; hkl 1 1 1, 24.6 deg, I = 31; hkl 1 1 2, 28.0 deg, I = 20; hkl 0 0 4, 30.8 deg, I = 51; hkl 1 1 3, 33.0 deg, I = 40; hkl 2 0 0, 33.3 deg, I = 100; hkl 1 1 4, 39.0 deg, I = 33; hkl 2 0 4, 46.0 deg, I = 67; hkl 2 2 0, 47.8 deg, I = 36; hkl 2 2 4, 57.9 deg, I = 33


[3]
The following is a simulated powder XRD pattern of CeDy4Sc. It was derived from DFT lattice parameters and positions (GGA-PBE), using Cu Ka.
Intensities are scaled so that the largest is 100.

Cell and atoms:
Cell: 12.2468 5.5983 10.6125 Å, 90.00 90.00 90.00°
Space group Pnma (No. 62)
One atom of each set of equivalent atoms:
Ce1 0.2103 0.2500 0.0832 x4
Dy1 0.0413 0.7500 0.7459 x4
Dy2 0.0439 0.7500 0.0828 x4
Dy3 0.2042 0.2500 0.4210 x4
Dy4 0.2122 0.2500 0.7518 x4
Sc1 0.0423 0.7500 0.4201 x4

Main lines, by angle (10° ≤ 2θ ≤ 80°):
hkl 1 0 1, 11.0 deg, I = 5; hkl 1 1 2, 24.2 deg, I = 4; hkl 2 0 3, 29.2 deg, I = 24; hkl 0 2 0, 32.0 deg, I = 25; hkl 4 1 0, 33.3 deg, I = 100; hkl 2 2 3, 43.8 deg, I = 16; hkl 0 0 6, 51.7 deg, I = 19; hkl 4 3 0, 57.9 deg, I = 21; hkl 0 2 6, 62.1 deg, I = 22; hkl 4 1 6, 62.9 deg, I = 16


[4]
The following is a simulated powder XRD pattern of CeDy8Sc4. It was derived from DFT lattice parameters and positions (GGA-PBE), using Cu Ka.
Intensities are scaled so that the largest is 100.

Cell and atoms:
Cell: 7.1060 7.1060 25.9873 Å, 90.00 90.00 120.00°
Space group R-3m (No. 166, hexagonal axes)
One atom of each set of equivalent atoms:
Ce1 0.0000 0.0000 0.0000 x3
Dy1 0.0000 0.0000 0.2779 x6
Dy2 0.0287 0.5144 0.2667 x18
Sc1 0.0000 0.0000 0.5000 x3
Sc2 0.0000 0.5000 0.5000 x9

Main lines, by angle (10° ≤ 2θ ≤ 80°):
hkl 0 0 3, 10.2 deg, I = 39; hkl 0 0 6, 20.5 deg, I = 19; hkl 2 0 2, 29.8 deg, I = 48; hkl 0 0 9, 31.0 deg, I = 24; hkl 0 2 4, 32.2 deg, I = 100; hkl 2 0 5, 33.9 deg, I = 25; hkl 0 2 7, 38.0 deg, I = 25; hkl 2 0 8, 40.4 deg, I = 27; hkl 2 0 11, 48.6 deg, I = 20; hkl 2 2 0, 51.4 deg, I = 31


[5]
The following is a simulated powder XRD pattern of CeDy6Sc2. It was derived from DFT lattice parameters and positions (GGA-PBE), using Cu Ka.
Intensities are scaled so that the largest is 100.

Cell and atoms:
Cell: 6.5969 8.9529 9.3493 Å, 98.39 95.83 95.63°
Space group P-1 (No. 2)
One atom of each set of equivalent atoms:
Ce1 0.0930 0.3477 0.0549 x2
Dy1 0.0150 0.7772 0.6091 x2
Dy2 0.2036 0.4462 0.7230 x2
Dy3 0.2358 0.9978 0.9427 x2
Dy4 0.3147 0.5690 0.3902 x2
Dy5 0.4195 0.6807 0.0543 x2
Dy6 0.4628 0.2071 0.2789 x2
Sc1 0.1340 0.8813 0.2829 x2
Sc2 0.3544 0.0968 0.6061 x2

Main lines, by angle (10° ≤ 2θ ≤ 80°):
hkl 1 2 -2, 29.2 deg, I = 37; hkl 2 -2 0, 32.2 deg, I = 36; hkl 1 -1 3, 33.4 deg, I = 100; hkl 0 3 1, 33.5 deg, I = 49; hkl 3 0 -2, 44.0 deg, I = 12; hkl 1 2 -5, 51.8 deg, I = 19; hkl -4 1 2, 58.1 deg, I = 10; hkl 4 2 -1, 62.2 deg, I = 11; hkl 1 -4 5, 62.5 deg, I = 11; hkl 3 3 -4, 63.0 deg, I = 16


[6]
The following is a simulated powder XRD pattern of CeDy5Sc. It was derived from DFT lattice parameters and positions (GGA-PBE), using Cu Ka.
Intensities are scaled so that the largest is 100.

Cell and atoms:
Cell: 6.7975 9.9748 6.8497 Å, 90.00 106.50 90.00°
Space group Cm (No. 8)
One atom of each set of equivalent atoms:
Ce1 0.0000 0.0000 0.0000 x2
Dy1 0.0012 0.0000 0.5004 x2
Dy2 0.1852 0.2844 0.2341 x4
Dy3 0.3171 0.2155 0.7671 x4
Sc1 0.0013 0.5000 0.5008 x2

Main lines, by angle (10° ≤ 2θ ≤ 80°):
hkl 1 1 0, 16.2 deg, I = 23; hkl 1 3 0, 30.2 deg, I = 23; hkl 1 3 -1, 31.5 deg, I = 19; hkl 2 2 -1, 32.4 deg, I = 23; hkl 0 2 2, 32.7 deg, I = 92; hkl 2 0 -2, 32.8 deg, I = 100; hkl 2 0 1, 34.0 deg, I = 17; hkl 0 4 0, 36.0 deg, I = 24; hkl 2 4 -2, 49.5 deg, I = 16; hkl 2 2 -4, 58.3 deg, I = 16


[7]
The following is a simulated powder XRD pattern of CeDy2ScSe4. It was derived from DFT lattice parameters and positions (GGA-PBE), using Cu Ka.
Intensities are scaled so that the largest is 100.

Cell and atoms:
Cell: 7.0311 4.0384 7.0755 Å, 90.00 109.10 90.00°
Space group P2/m (No. 10)
One atom of each set of equivalent atoms:
Ce1 0.0000 0.0000 0.0000 x1
Dy1 0.5000 0.0000 0.5000 x1
Dy2 0.5000 0.5000 0.0000 x1
Sc1 0.0000 0.5000 0.5000 x1
Se1 0.2436 0.0000 0.7371 x2
Se2 0.2523 0.5000 0.2620 x2

Main lines, by angle (10° ≤ 2θ ≤ 80°):
hkl 1 0 0, 13.3 deg, I = 8; hkl 1 1 1, 31.1 deg, I = 100; hkl 2 0 2, 44.3 deg, I = 12; hkl 1 1 -3, 44.5 deg, I = 24; hkl 3 1 -1, 44.7 deg, I = 24; hkl 0 2 0, 44.9 deg, I = 12; hkl 2 2 -2, 55.6 deg, I = 13; hkl 2 2 2, 64.9 deg, I = 12; hkl 0 2 4, 73.6 deg, I = 11; hkl 4 2 0, 73.9 deg, I = 11


[8]
The following is a simulated powder XRD pattern of Ce4DySe5. It was derived from DFT lattice parameters and positions (GGA-PBE), using Cu Ka.
Intensities are scaled so that the largest is 100.

Cell and atoms:
Cell: 4.1742 4.1742 29.4970 Å, 90.00 90.00 90.00°
Space group I4/mmm (No. 139)
One atom of each set of equivalent atoms:
Ce1 0.0000 0.0000 0.1002 x4
Ce2 0.0000 0.0000 0.3009 x4
Dy1 0.0000 0.0000 0.5000 x2
Se1 0.0000 0.0000 0.0000 x2
Se2 0.0000 0.0000 0.2003 x4
Se3 0.0000 0.0000 0.4024 x4

Main lines, by angle (10° ≤ 2θ ≤ 80°):
hkl 1 0 5, 26.2 deg, I = 16; hkl 1 1 0, 30.3 deg, I = 100; hkl 2 0 0, 43.4 deg, I = 74; hkl 1 0 15, 51.3 deg, I = 8; hkl 2 0 10, 53.8 deg, I = 26; hkl 2 2 0, 63.0 deg, I = 12; hkl 2 1 15, 69.4 deg, I = 3; hkl 3 1 0, 71.5 deg, I = 22; hkl 1 1 20, 71.5 deg, I = 11; hkl 3 1 10, 79.6 deg, I = 25


[9]
The following is a simulated powder XRD pattern of Ce3DySe6. It was derived from DFT lattice parameters and positions (GGA-PBE), using Cu Ka.
Intensities are scaled so that the largest is 100.

Cell and atoms:
Cell: 7.0429 7.7894 12.6007 Å, 90.00 123.16 90.00°
Space group P2_1/c (No. 14)
One atom of each set of equivalent atoms:
Ce1 0.0000 0.0000 0.0000 x2
Ce2 0.2949 0.1032 0.7519 x4
Dy1 0.5000 0.0000 0.5000 x2
Se1 0.0974 0.0602 0.2547 x4
Se2 0.2532 0.6805 0.0785 x4
Se3 0.4088 0.1851 0.0768 x4

Main lines, by angle (10° ≤ 2θ ≤ 80°):
hkl 1 1 1, 23.8 deg, I = 99; hkl 1 1 -3, 24.1 deg, I = 100; hkl 2 1 -3, 29.2 deg, I = 38; hkl 0 0 4, 34.0 deg, I = 49; hkl 2 2 -2, 34.3 deg, I = 87; hkl 1 3 -1, 36.9 deg, I = 72; hkl 1 3 -2, 37.9 deg, I = 47; hkl 0 2 4, 41.3 deg, I = 48; hkl 3 1 -1, 43.6 deg, I = 63; hkl 3 1 -5, 44.0 deg, I = 61


[10]
The following is a simulated powder XRD pattern of Ce2Dy2Se7. It was derived from DFT lattice parameters and positions (GGA-PBE), using Cu Ka.
Intensities are scaled so that the largest is 100.

Cell and atoms:
Cell: 4.1166 14.6364 9.0758 Å, 90.00 90.00 90.00°
Space group Imm2 (No. 44)
One atom of each set of equivalent atoms:
Ce1 0.0000 0.2396 0.0000 x4
Dy1 0.0000 0.0000 0.2401 x2
Dy2 0.0000 0.5000 0.1964 x2
Se1 0.0000 0.0000 0.9210 x2
Se2 0.0000 0.1097 0.5171 x4
Se3 0.0000 0.3167 0.3019 x4
Se4 0.0000 0.3618 0.6933 x4

Main lines, by angle (10° ≤ 2θ ≤ 80°):
hkl 0 2 2, 23.1 deg, I = 40; hkl 1 0 1, 23.7 deg, I = 20; hkl 1 2 1, 26.7 deg, I = 19; hkl 1 1 2, 29.9 deg, I = 26; hkl 1 4 1, 34.2 deg, I = 100; hkl 1 3 2, 34.7 deg, I = 26; hkl 1 2 3, 38.9 deg, I = 54; hkl 0 6 2, 42.1 deg, I = 29; hkl 2 0 0, 44.0 deg, I = 31; hkl 1 4 5, 61.3 deg, I = 23


[11]
The following is a simulated powder XRD pattern of CeDyTeSe. It was derived from DFT lattice parameters and positions (GGA-PBE), using Cu Ka.
Intensities are scaled so that the largest is 100.

Cell and atoms:
Cell: 4.1142 4.1142 23.0866 Å, 90.00 90.00 120.00°
Space group R3m (No. 160, hexagonal axes)
One atom of each set of equivalent atoms:
Ce1 0.0000 0.0000 0.0000 x3
Dy1 0.0000 0.0000 0.1616 x3
Te1 0.0000 0.0000 0.5766 x3
Se1 0.0000 0.0000 0.7528 x3

Main lines, by angle (10° ≤ 2θ ≤ 80°):
hkl 0 1 2, 26.2 deg, I = 55; hkl 0 1 5, 31.7 deg, I = 100; hkl 1 0 7, 37.1 deg, I = 63; hkl 1 1 0, 44.0 deg, I = 55; hkl 0 0 12, 47.2 deg, I = 14; hkl 2 0 5, 55.3 deg, I = 21; hkl 0 2 7, 58.9 deg, I = 16; hkl 1 1 12, 66.5 deg, I = 30; hkl 1 2 5, 73.2 deg, I = 18; hkl 2 1 7, 76.4 deg, I = 15


[12]
The following is a simulated powder XRD pattern of Ce2DyThSe4. It was derived from DFT lattice parameters and positions (GGA-PBE), using Cu Ka.
Intensities are scaled so that the largest is 100.

Cell and atoms:
Cell: 7.2014 4.1578 7.2595 Å, 90.00 109.30 90.00°
Space group P2/m (No. 10)
One atom of each set of equivalent atoms:
Ce1 0.0000 0.0000 0.0000 x1
Ce2 0.0000 0.5000 0.5000 x1
Dy1 0.5000 0.0000 0.5000 x1
Th1 0.5000 0.5000 0.0000 x1
Se1 0.2525 0.0000 0.7434 x2
Se2 0.2575 0.5000 0.2593 x2

Main lines, by angle (10° ≤ 2θ ≤ 80°):
hkl 2 0 0, 26.2 deg, I = 17; hkl 1 1 1, 30.3 deg, I = 100; hkl 2 0 2, 43.3 deg, I = 38; hkl 0 2 0, 43.5 deg, I = 37; hkl 0 0 4, 53.5 deg, I = 7; hkl 2 2 -2, 54.0 deg, I = 20; hkl 2 2 2, 63.0 deg, I = 12; hkl 0 2 4, 71.3 deg, I = 17; hkl 1 3 1, 71.7 deg, I = 17; hkl 1 3 -3, 79.7 deg, I = 13


[13]
The following is a simulated powder XRD pattern of CeDy2Si2. It was derived from DFT lattice parameters and positions (GGA-PBE), using Cu Ka.
Intensities are scaled so that the largest is 100.

Cell and atoms:
Cell: 5.5946 4.1237 11.2455 Å, 90.00 96.01 90.00°
Space group P2_1/m (No. 11)
One atom of each set of equivalent atoms:
Ce1 0.0910 0.2500 0.2806 x2
Dy1 0.2464 0.2500 0.9474 x2
Dy2 0.4041 0.2500 0.6267 x2
Si1 0.1243 0.7500 0.4780 x2
Si2 0.2650 0.7500 0.1289 x2

Main lines, by angle (10° ≤ 2θ ≤ 80°):
hkl 0 0 3, 23.9 deg, I = 38; hkl 1 1 0, 26.9 deg, I = 80; hkl 1 0 -3, 27.4 deg, I = 39; hkl 1 1 1, 28.6 deg, I = 72; hkl 0 1 3, 32.4 deg, I = 100; hkl 2 0 1, 34.0 deg, I = 58; hkl 2 0 -2, 34.5 deg, I = 43; hkl 1 1 -3, 35.1 deg, I = 34; hkl 1 0 4, 37.5 deg, I = 49; hkl 0 2 0, 43.9 deg, I = 38